KTl2AgF4: simulated X-ray diffraction stick pattern (Cu Kα X-rays), based on a cell relaxed with PBE.

Atomic structure:
a = 7.661 Å, b = 7.661 Å, c = 7.661 Å
α = 120.66°, β = 118.66°, γ = 90.60°
Fractional coordinates of all 16 atoms:
K1 0.500 0.000 0.000
K2 0.500 0.500 0.500
Tl1 0.000 0.000 0.000
Tl2 0.000 0.000 0.500
Tl3 0.000 0.500 0.000
Tl4 0.500 0.000 0.500
Ag1 0.000 0.500 0.500
Ag2 0.500 0.500 0.000
F1 0.244 0.734 0.511
F2 0.255 0.271 0.516
F3 0.255 0.739 0.984
F4 0.277 0.266 0.011
F5 0.723 0.734 0.989
F6 0.745 0.261 0.016
F7 0.745 0.729 0.484
F8 0.756 0.266 0.489

Top 10 peaks for 2θ from 10° to 80°, low angle first:
| 2theta | I_rel |
| --- | --- |
| 14.00 | 431 |
| 27.39 | 301 |
| 28.21 | 830 |
| 28.79 | 790 |
| 32.91 | 1000 |
| 33.25 | 483 |
| 46.48 | 186 |
| 47.49 | 691 |
| 55.59 | 265 |
| 56.59 | 253 |